# Na2VPCO7
Computed powder diffraction line list, λ = 1.5418 Å (Cu Kα). Input: a crystal structure in Alexandria, relaxed with PBE+U.
Neutral-atom scattering factors, no anomalous dispersion.

Structure:
a = 5.272 Å, b = 6.559 Å, c = 9.092 Å
α = 90.00°, β = 91.60°, γ = 90.00°
Sites, in units of the cell vectors:
Na 0.242 0.007 0.273
Na 0.242 0.493 0.273
Na 0.758 0.507 0.727
Na 0.758 0.993 0.727
V 0.208 0.250 0.852
V 0.792 0.750 0.148
P 0.286 0.750 0.924
P 0.714 0.250 0.076
C 0.273 0.250 0.582
C 0.727 0.750 0.418
O 0.047 0.250 0.640
O 0.154 0.750 0.075
O 0.202 0.559 0.835
O 0.202 0.941 0.835
O 0.313 0.250 0.447
O 0.420 0.250 0.053
O 0.460 0.250 0.684
O 0.540 0.750 0.316
O 0.580 0.750 0.947
O 0.687 0.750 0.553
O 0.798 0.059 0.165
O 0.798 0.441 0.165
O 0.846 0.250 0.925
O 0.953 0.750 0.360

Main lines, sorted by position (5° ≤ 2θ ≤ 70°):
2θ/deg	Rel. int.
9.73	1000
16.67	378
23.96	267
25.52	385
27.19	306
33.52	209
33.71	384
33.81	173
34.02	280
37.26	161